Record 1
Computed powder X-ray diffraction pattern of V2Co9W for a wavelength of 1.5418 Å, from a cell relaxed with PBE.
Peak positions follow from Bragg's law for the DFT cell and can differ from measured ones.

Largest 10 diffraction maxima, by angle, 10° ≤ 2θ ≤ 80°:
2θ/deg	I/Imax	h k l
14.54	19	0 0 3
20.96	25	1 0 1
22.61	17	0 1 2
41.75	38	0 2 1
42.66	29	2 0 2
44.62	53	0 0 9
46.16	100	0 2 4
48.65	88	2 0 5
54.88	14	0 2 7
75.60	30	2 2 0

Cell and atoms:
```
data_V2Co9W
_chemical_formula_sum 'V6 Co27 W3'
_symmetry_space_group_name_H-M 'R 3 m'
_symmetry_Int_Tables_number 160
_symmetry_space_group_name_Hall 'R 3 -2"'
_cell_length_a 5.0314
_cell_length_b 5.0314
_cell_length_c 18.2787
_cell_angle_alpha 90.00
_cell_angle_beta 90.00
_cell_angle_gamma 120.00
loop_
_atom_site_label
_atom_site_type_symbol
_atom_site_fract_x
_atom_site_fract_y
_atom_site_fract_z
_atom_site_occupancy
V1 V 0.0000 0.0000 0.0000 1
V2 V 0.0000 0.0000 0.2180 1
Co1 Co 0.0034 0.5017 0.9990 1
Co2 Co 0.0106 0.5053 0.2235 1
Co3 Co 0.1710 0.3419 0.1106 1
W1 W 0.0000 0.0000 0.7804 1
```

---

Record 2
Computed powder X-ray diffraction pattern of V2Zn2Co3 for a wavelength of 1.5418 Å, from a cell relaxed with PBE.
Peak positions follow from Bragg's law for the DFT cell and can differ from measured ones.

Largest 10 diffraction maxima, by angle, 10° ≤ 2θ ≤ 80°:
2θ/deg	I/Imax	h k l
13.85	9	0 0 1
25.94	17	1 1 0
27.18	12	1 1 -1
41.92	48	2 0 -3
44.93	92	3 1 -1
45.06	46	0 2 0
45.92	100	2 0 2
63.20	9	2 2 -3
66.14	10	4 0 -4
66.28	20	2 2 2

Cell and atoms:
```
data_V2Zn2Co3
_chemical_formula_sum 'V4 Zn4 Co6'
_symmetry_space_group_name_H-M 'C 1 2/m 1'
_symmetry_Int_Tables_number 12
_cell_length_a 6.995
_cell_length_b 4.024
_cell_length_c 6.805
_cell_angle_alpha 90.00
_cell_angle_beta 110.05
_cell_angle_gamma 90.00
loop_
_symmetry_equiv_pos_as_xyz
'x,y,z'
'-x,-y,-z'
'-x,y,-z'
'x,-y,z'
'x+1/2,y+1/2,z'
'-x+1/2,-y+1/2,-z'
'-x+1/2,y+1/2,-z'
'x+1/2,-y+1/2,z'
loop_
_atom_site_label
_atom_site_type_symbol
_atom_site_fract_x
_atom_site_fract_y
_atom_site_fract_z
_atom_site_occupancy
V1 V 0.116 0.000 0.346 1
Zn1 Zn 0.132 0.500 0.898 1
Co1 Co 0.000 0.500 0.500 1
Co2 Co 0.235 0.000 0.708 1
```

---

Record 3
Computed powder X-ray diffraction pattern of CoW for a wavelength of 1.5418 Å, from a cell relaxed with PBE.
Peak positions follow from Bragg's law for the DFT cell and can differ from measured ones.

Largest 10 diffraction maxima, by angle, 10° ≤ 2θ ≤ 80°:
2θ/deg	I/Imax	h k l
14.48	28	0 0 1
29.21	13	0 0 2
36.81	18	1 1 -1
38.91	29	1 1 1
41.03	39	4 0 -2
44.21	100	3 1 0
44.41	52	4 0 1
57.83	16	3 1 -3
70.76	16	3 1 3
76.96	15	7 1 -2

Cell and atoms:
```
data_CoW
_chemical_formula_sum 'Co6 W6'
_symmetry_space_group_name_H-M 'C 1 m 1'
_symmetry_Int_Tables_number 8
_cell_length_a 9.938
_cell_length_b 2.677
_cell_length_c 6.363
_cell_angle_alpha 90.00
_cell_angle_beta 106.05
_cell_angle_gamma 90.00
loop_
_symmetry_equiv_pos_as_xyz
'x,y,z'
'x,-y,z'
'x+1/2,y+1/2,z'
'x+1/2,-y+1/2,z'
loop_
_atom_site_label
_atom_site_type_symbol
_atom_site_fract_x
_atom_site_fract_y
_atom_site_fract_z
_atom_site_occupancy
Co1 Co 0.000 0.000 0.000 1
Co2 Co 0.104 0.500 0.743 1
Co3 Co 0.276 0.000 0.060 1
W1 W 0.170 0.500 0.324 1
W2 W 0.326 0.000 0.702 1
W3 W 0.446 0.500 0.386 1
```

---

Record 4
Computed powder X-ray diffraction pattern of CoW4 for a wavelength of 1.5418 Å, from a cell relaxed with PBE.
Peak positions follow from Bragg's law for the DFT cell and can differ from measured ones.

Largest 9 diffraction maxima, by angle, 10° ≤ 2θ ≤ 80°:
2θ/deg	I/Imax	h k l
22.48	4	1 1 0
32.00	95	2 0 0
39.46	2	2 1 1
45.88	100	2 2 0
51.67	1	3 1 0
57.03	25	2 2 2
62.08	1	3 2 1
66.90	16	4 0 0
76.09	33	4 2 0

Cell and atoms:
```
data_CoW4
_chemical_formula_sum 'Co2 W8'
_symmetry_space_group_name_H-M 'I m -3 m'
_symmetry_Int_Tables_number 229
_symmetry_space_group_name_Hall '-I 4 2 3'
_cell_length_a 5.594
_cell_length_b 5.594
_cell_length_c 5.594
_cell_angle_alpha 90.00
_cell_angle_beta 90.00
_cell_angle_gamma 90.00
loop_
_atom_site_label
_atom_site_type_symbol
_atom_site_fract_x
_atom_site_fract_y
_atom_site_fract_z
_atom_site_occupancy
Co1 Co 0.000 0.000 0.000 1
W1 W 0.250 0.250 0.250 1
```

---

Record 5
Computed powder X-ray diffraction pattern of CoW5 for a wavelength of 1.5418 Å, from a cell relaxed with PBE.
Peak positions follow from Bragg's law for the DFT cell and can differ from measured ones.

Largest 10 diffraction maxima, by angle, 10° ≤ 2θ ≤ 80°:
2θ/deg	I/Imax	h k l
35.10	11	0 0 5
36.24	12	1 0 2
39.63	100	1 0 3
42.43	15	0 0 6
47.83	33	1 1 0
60.69	9	1 1 5
65.83	16	1 1 6
68.28	12	1 0 8
69.96	11	2 0 0
75.73	6	1 0 9

Cell and atoms:
```
data_CoW5
_chemical_formula_sum 'Co1 W5'
_symmetry_space_group_name_H-M 'P 4/m m m'
_symmetry_Int_Tables_number 123
_symmetry_space_group_name_Hall '-P 4 2'
_cell_length_a 2.689
_cell_length_b 2.689
_cell_length_c 12.783
_cell_angle_alpha 90.00
_cell_angle_beta 90.00
_cell_angle_gamma 90.00
loop_
_atom_site_label
_atom_site_type_symbol
_atom_site_fract_x
_atom_site_fract_y
_atom_site_fract_z
_atom_site_occupancy
Co1 Co 0.000 0.000 0.000 1
W1 W 0.000 0.000 0.320 1
W2 W 0.500 0.500 0.142 1
W3 W 0.500 0.500 0.500 1
```

---

Record 6
Computed powder X-ray diffraction pattern of Co2W for a wavelength of 1.5418 Å, from a cell relaxed with PBE.
Peak positions follow from Bragg's law for the DFT cell and can differ from measured ones.

Largest 10 diffraction maxima, by angle, 10° ≤ 2θ ≤ 80°:
2θ/deg	I/Imax	h k l
22.72	19	1 0 1
36.84	26	1 0 5
38.51	77	1 1 0
41.90	87	1 0 6
45.18	22	2 0 1
45.49	100	1 1 4
46.40	42	2 0 2
71.99	34	2 1 6
74.56	27	0 0 12
78.40	20	2 0 10

Cell and atoms:
```
data_Co2W
_chemical_formula_sum 'Co16 W8'
_symmetry_space_group_name_H-M 'P 63/m m c'
_symmetry_Int_Tables_number 194
_symmetry_space_group_name_Hall '-P 6c 2c'
_cell_length_a 4.6753
_cell_length_b 4.6753
_cell_length_c 15.2827
_cell_angle_alpha 90.00
_cell_angle_beta 90.00
_cell_angle_gamma 120.00
loop_
_atom_site_label
_atom_site_type_symbol
_atom_site_fract_x
_atom_site_fract_y
_atom_site_fract_z
_atom_site_occupancy
Co1 Co 0.0000 0.5000 0.0000 1
Co2 Co 0.1638 0.3275 0.2500 1
Co3 Co 0.3333 0.6667 0.1263 1
W1 W 0.0000 0.0000 0.0909 1
W2 W 0.3333 0.6667 0.6560 1
```